The following is a computed powder XRD pattern of Tb5Y4. It was derived from a cell relaxed with PBE, using Cu Kα.
Peak positions follow from Bragg's law for the DFT cell and can differ from measured ones.

Atomic structure:
Lattice parameters (Å, degrees): 9.119 9.119 9.119 157.03 96.10 88.45
Fractional positions:
Tb 0.000 0.000 0.000
Tb 0.293 0.000 0.293
Tb 0.375 0.375 0.000
Tb 0.625 0.625 0.000
Tb 0.707 0.000 0.707
Y 0.046 0.690 0.356
Y 0.334 0.690 0.644
Y 0.666 0.310 0.356
Y 0.954 0.310 0.644

Peak list (6 most intense, 2θ = 10–80°, in order of falling intensity)
2θ (°)	Rel. int.
32.09	1000
30.07	936
33.08	933
52.56	324
32.41	266
59.68	264

The following is a computed powder XRD pattern of TbY4. It was derived from a cell relaxed with PBE, using Cu Kα.
Peak positions follow from Bragg's law for the DFT cell and can differ from measured ones.

Atomic structure:
Lattice parameters (Å, degrees): 8.824 8.824 3.529 90.00 90.00 143.96
Fractional positions:
Tb 0.000 0.000 0.000
Y 0.199 0.801 0.000
Y 0.391 0.609 0.500
Y 0.609 0.391 0.500
Y 0.801 0.199 0.000

Peak list (6 most intense, 2θ = 10–80°, in order of falling intensity)
2θ (°)	Rel. int.
30.63	1000
31.28	991
33.17	458
32.81	448
47.35	334
61.79	272

The following is a computed powder XRD pattern of Tb5Y. It was derived from a cell relaxed with PBE, using Cu Kα.
Peak positions follow from Bragg's law for the DFT cell and can differ from measured ones.

Atomic structure:
Lattice parameters (Å, degrees): 6.169 10.674 6.170 90.00 109.39 90.00
Fractional positions:
Tb 0.250 0.083 0.000
Tb 0.250 0.250 0.500
Tb 0.250 0.417 0.000
Tb 0.250 0.583 0.500
Tb 0.250 0.917 0.500
Tb 0.750 0.083 0.500
Tb 0.750 0.417 0.500
Tb 0.750 0.583 0.000
Tb 0.750 0.750 0.500
Tb 0.750 0.917 0.000
Y 0.250 0.750 0.000
Y 0.750 0.250 0.000

Peak list (6 most intense, 2θ = 10–80°, in order of falling intensity)
2θ (°)	Rel. int.
30.75	1000
35.65	505
51.30	299
61.04	283
60.97	143
63.99	61

The following is a computed powder XRD pattern of Tb2Y13. It was derived from a cell relaxed with PBE, using Cu Kα.
Peak positions follow from Bragg's law for the DFT cell and can differ from measured ones.

Atomic structure:
Lattice parameters (Å, degrees): 12.249 12.249 12.249 33.48 33.48 33.48
Fractional positions:
Tb 0.206 0.206 0.206
Tb 0.794 0.794 0.794
Y 0.000 0.000 0.000
Y 0.042 0.547 0.547
Y 0.209 0.708 0.708
Y 0.292 0.292 0.791
Y 0.292 0.791 0.292
Y 0.453 0.453 0.958
Y 0.453 0.958 0.453
Y 0.547 0.042 0.547
Y 0.547 0.547 0.042
Y 0.708 0.209 0.708
Y 0.708 0.708 0.209
Y 0.791 0.292 0.292
Y 0.958 0.453 0.453

Peak list (6 most intense, 2θ = 10–80°, in order of falling intensity)
2θ (°)	Rel. int.
31.00	1000
32.00	914
29.34	742
34.49	741
61.58	535
51.81	495

The following is a computed powder XRD pattern of Tb6Y. It was derived from a cell relaxed with PBE, using Cu Kα.
Peak positions follow from Bragg's law for the DFT cell and can differ from measured ones.

Atomic structure:
Lattice parameters (Å, degrees): 6.500 6.500 11.035 90.00 90.00 90.00
Fractional positions:
Tb 0.082 0.582 0.138
Tb 0.082 0.918 0.862
Tb 0.250 0.250 0.361
Tb 0.250 0.250 0.639
Tb 0.418 0.582 0.862
Tb 0.418 0.918 0.138
Tb 0.582 0.082 0.862
Tb 0.582 0.418 0.138
Tb 0.750 0.750 0.361
Tb 0.750 0.750 0.639
Tb 0.918 0.082 0.138
Tb 0.918 0.418 0.862
Y 0.250 0.750 0.500
Y 0.750 0.250 0.500

Peak list (6 most intense, 2θ = 10–80°, in order of falling intensity)
2θ (°)	Rel. int.
34.88	1000
28.63	982
31.14	776
31.83	762
55.77	558
32.46	450

The following is a computed powder XRD pattern of Tb2YZn6. It was derived from a cell relaxed with PBE, using Cu Kα.
Peak positions follow from Bragg's law for the DFT cell and can differ from measured ones.

Atomic structure:
Lattice parameters (Å, degrees): 7.760 7.760 3.527 90.00 90.00 120.00
Fractional positions:
Tb 0.333 0.667 0.000
Tb 0.667 0.333 0.000
Y 0.000 0.000 0.000
Zn 0.000 0.333 0.500
Zn 0.000 0.667 0.500
Zn 0.333 0.000 0.500
Zn 0.333 0.333 0.500
Zn 0.667 0.000 0.500
Zn 0.667 0.667 0.500

Peak list (6 most intense, 2θ = 10–80°, in order of falling intensity)
2θ (°)	Rel. int.
34.36	1000
40.26	584
53.94	271
69.40	248
67.61	240
22.92	132

The following is a computed powder XRD pattern of TbY2Zn9. It was derived from a cell relaxed with PBE, using Cu Kα.
Peak positions follow from Bragg's law for the DFT cell and can differ from measured ones.

Atomic structure:
Lattice parameters (Å, degrees): 9.140 9.140 9.140 34.67 34.67 34.67
Fractional positions:
Tb 0.000 0.000 0.000
Y 0.140 0.140 0.140
Y 0.860 0.860 0.860
Zn 0.076 0.585 0.585
Zn 0.335 0.335 0.335
Zn 0.415 0.415 0.924
Zn 0.415 0.924 0.415
Zn 0.500 0.500 0.500
Zn 0.585 0.076 0.585
Zn 0.585 0.585 0.076
Zn 0.665 0.665 0.665
Zn 0.924 0.415 0.415

Peak list (6 most intense, 2θ = 10–80°, in order of falling intensity)
2θ (°)	Rel. int.
39.18	1000
32.88	368
42.13	364
38.32	361
33.71	309
30.83	246

The following is a computed powder XRD pattern of Tb12Y2Zr. It was derived from a cell relaxed with PBE, using Cu Kα.
Peak positions follow from Bragg's law for the DFT cell and can differ from measured ones.

Atomic structure:
Lattice parameters (Å, degrees): 6.626 6.626 24.422 93.86 93.86 116.43
Fractional positions:
Tb 0.006 0.574 0.696
Tb 0.056 0.540 0.827
Tb 0.138 0.661 0.056
Tb 0.154 0.154 0.653
Tb 0.167 0.721 0.565
Tb 0.169 0.169 0.070
Tb 0.279 0.833 0.435
Tb 0.339 0.862 0.944
Tb 0.351 0.351 0.921
Tb 0.381 0.381 0.390
Tb 0.426 0.994 0.304
Tb 0.460 0.944 0.173
Tb 0.540 0.056 0.827
Tb 0.574 0.006 0.696
Tb 0.619 0.619 0.610
Tb 0.649 0.649 0.079
Tb 0.661 0.138 0.056
Tb 0.721 0.167 0.565
Tb 0.831 0.831 0.930
Tb 0.833 0.279 0.435
Tb 0.846 0.846 0.347
Tb 0.862 0.339 0.944
Tb 0.944 0.460 0.173
Tb 0.994 0.426 0.304
Y 0.025 0.025 0.789
Y 0.471 0.471 0.231
Y 0.529 0.529 0.769
Y 0.975 0.975 0.211
Zr 0.227 0.227 0.516
Zr 0.773 0.773 0.484

Peak list (6 most intense, 2θ = 10–80°, in order of falling intensity)
2θ (°)	Rel. int.
31.79	1000
32.01	959
30.32	428
33.61	364
29.50	289
32.28	253